1.
Calculated X-ray powder pattern of Pr2CuRu for copper Kα, from DFT lattice parameters and positions (PBE).
Neutral-atom scattering factors, no anomalous dispersion.

Atomic structure:
```
data_Pr2CuRu
_chemical_formula_sum 'Pr4 Cu2 Ru2'
_symmetry_space_group_name_H-M 'P 1 21/m 1'
_symmetry_Int_Tables_number 11
_symmetry_space_group_name_Hall '-P 2yb'
_cell_length_a 5.9457
_cell_length_b 4.2277
_cell_length_c 8.1186
_cell_angle_alpha 90.00
_cell_angle_beta 110.30
_cell_angle_gamma 90.00
loop_
_atom_site_label
_atom_site_type_symbol
_atom_site_fract_x
_atom_site_fract_y
_atom_site_fract_z
Pr1 Pr 0.2159 0.2500 0.4372
Pr2 Pr 0.2227 0.2500 0.9220
Cu1 Cu 0.3603 0.7500 0.2144
Ru1 Ru 0.3547 0.7500 0.7182
```

Largest 10 diffraction maxima, by angle, 2θ = 10–80°:
| (hkl) | 2θ/deg | d_spacing | intensity |
| --- | --- | --- | --- |
| 1 1 0 | 26.46 | 3.369 | 186 |
| 1 1 -2 | 31.59 | 2.832 | 1000 |
| 2 0 0 | 32.10 | 2.788 | 254 |
| 2 0 -2 | 32.56 | 2.750 | 210 |
| 1 0 2 | 32.76 | 2.733 | 226 |
| 2 1 0 | 38.69 | 2.328 | 253 |
| 2 1 -2 | 39.08 | 2.305 | 301 |
| 1 1 2 | 39.25 | 2.295 | 292 |
| 0 2 0 | 42.78 | 2.114 | 263 |
| 1 0 -4 | 44.65 | 2.030 | 225 |


2.
Calculated X-ray powder pattern of Pr7Cu2Ru2 for copper Kα, from DFT lattice parameters and positions (PBE).
Neutral-atom scattering factors, no anomalous dispersion.

Atomic structure:
```
data_Pr7Cu2Ru2
_chemical_formula_sum 'Pr14 Cu4 Ru4'
_symmetry_space_group_name_H-M 'C m m m'
_symmetry_Int_Tables_number 65
_symmetry_space_group_name_Hall '-C 2 2'
_cell_length_a 7.7032
_cell_length_b 11.5877
_cell_length_c 7.1633
_cell_angle_alpha 90.00
_cell_angle_beta 90.00
_cell_angle_gamma 90.00
loop_
_atom_site_label
_atom_site_type_symbol
_atom_site_fract_x
_atom_site_fract_y
_atom_site_fract_z
Pr1 Pr 0.0000 0.0000 0.0000
Pr2 Pr 0.0000 0.5000 0.2568
Pr3 Pr 0.2500 0.2500 0.2663
Cu1 Cu 0.1600 0.0000 0.5000
Ru1 Ru 0.0000 0.3082 0.0000
```

Largest 10 diffraction maxima, by angle, 2θ = 10–80°:
| (hkl) | 2θ/deg | d_spacing | intensity |
| --- | --- | --- | --- |
| 2 0 1 | 26.27 | 3.392 | 308 |
| 2 2 0 | 27.81 | 3.208 | 779 |
| 1 1 2 | 28.54 | 3.127 | 435 |
| 0 4 0 | 30.87 | 2.897 | 655 |
| 2 0 2 | 34.19 | 2.623 | 236 |
| 1 3 2 | 36.13 | 2.486 | 600 |
| 2 2 2 | 37.65 | 2.389 | 1000 |
| 4 0 0 | 47.20 | 1.926 | 187 |
| 0 0 4 | 51.00 | 1.791 | 198 |
| 2 6 0 | 53.04 | 1.727 | 250 |


3.
Calculated X-ray powder pattern of Pr8CuRu2 for copper Kα, from DFT lattice parameters and positions (PBE).
Neutral-atom scattering factors, no anomalous dispersion.

Atomic structure:
```
data_Pr8CuRu2
_chemical_formula_sum 'Pr16 Cu2 Ru4'
_symmetry_space_group_name_H-M 'C 1 m 1'
_symmetry_Int_Tables_number 8
_symmetry_space_group_name_Hall 'C -2y'
_cell_length_a 8.4625
_cell_length_b 13.0648
_cell_length_c 6.4290
_cell_angle_alpha 90.00
_cell_angle_beta 110.16
_cell_angle_gamma 90.00
loop_
_atom_site_label
_atom_site_type_symbol
_atom_site_fract_x
_atom_site_fract_y
_atom_site_fract_z
Pr1 Pr 0.0000 0.0000 0.0000
Pr2 Pr 0.0745 0.3661 0.8065
Pr3 Pr 0.1430 0.1338 0.5843
Pr4 Pr 0.2192 0.5000 0.3959
Pr5 Pr 0.3540 0.2099 0.2006
Cu1 Cu 0.3607 0.0000 0.3963
Ru1 Ru 0.3601 0.3115 0.6952
```

Largest 10 diffraction maxima, by angle, 2θ = 10–80°:
| (hkl) | 2θ/deg | d_spacing | intensity |
| --- | --- | --- | --- |
| 2 2 -1 | 26.06 | 3.419 | 256 |
| 1 1 -2 | 28.62 | 3.119 | 477 |
| 1 3 1 | 29.68 | 3.010 | 947 |
| 2 0 1 | 30.92 | 2.892 | 441 |
| 0 4 1 | 31.14 | 2.873 | 514 |
| 3 1 -1 | 32.66 | 2.742 | 1000 |
| 2 2 -2 | 33.42 | 2.681 | 317 |
| 2 4 0 | 35.59 | 2.523 | 347 |
| 1 5 -1 | 37.67 | 2.388 | 479 |
| 3 3 -1 | 38.15 | 2.359 | 229 |


4.
Calculated X-ray powder pattern of Pr4Cu3Ru for copper Kα, from DFT lattice parameters and positions (PBE).
Neutral-atom scattering factors, no anomalous dispersion.

Atomic structure:
```
data_Pr4Cu3Ru
_chemical_formula_sum 'Pr4 Cu3 Ru1'
_symmetry_space_group_name_H-M 'P m m 2'
_symmetry_Int_Tables_number 25
_symmetry_space_group_name_Hall 'P 2 -2'
_cell_length_a 3.9617
_cell_length_b 4.5318
_cell_length_c 10.7421
_cell_angle_alpha 90.00
_cell_angle_beta 90.00
_cell_angle_gamma 90.00
loop_
_atom_site_label
_atom_site_type_symbol
_atom_site_fract_x
_atom_site_fract_y
_atom_site_fract_z
Pr1 Pr 0.0000 0.0000 0.0000
Pr2 Pr 0.0000 0.5000 0.2698
Pr3 Pr 0.5000 0.0000 0.4780
Pr4 Pr 0.5000 0.5000 0.7706
Cu1 Cu 0.0000 0.0000 0.6918
Cu2 Cu 0.0000 0.5000 0.5641
Cu3 Cu 0.5000 0.5000 0.0621
Ru1 Ru 0.5000 0.0000 0.2090
```

Largest 10 diffraction maxima, by angle, 2θ = 10–80°:
| (hkl) | 2θ/deg | d_spacing | intensity |
| --- | --- | --- | --- |
| 0 1 2 | 25.72 | 3.464 | 246 |
| 1 1 1 | 31.12 | 2.874 | 1000 |
| 0 0 4 | 33.36 | 2.686 | 207 |
| 1 0 3 | 33.74 | 2.656 | 407 |
| 0 1 4 | 38.99 | 2.310 | 220 |
| 1 1 3 | 39.31 | 2.292 | 515 |
| 0 2 0 | 39.78 | 2.266 | 303 |
| 2 0 0 | 45.81 | 1.981 | 201 |
| 1 2 3 | 53.13 | 1.724 | 222 |
| 2 2 0 | 62.25 | 1.491 | 158 |


5.
Calculated X-ray powder pattern of Pr4CuRu2 for copper Kα, from DFT lattice parameters and positions (PBE).
Neutral-atom scattering factors, no anomalous dispersion.

Atomic structure:
```
data_Pr4CuRu2
_chemical_formula_sum 'Pr8 Cu2 Ru4'
_symmetry_space_group_name_H-M 'P 1'
_symmetry_Int_Tables_number 1
_symmetry_space_group_name_Hall 'P 1'
_cell_length_a 7.2698
_cell_length_b 7.4838
_cell_length_c 7.5614
_cell_angle_alpha 108.47
_cell_angle_beta 104.63
_cell_angle_gamma 102.91
loop_
_atom_site_label
_atom_site_type_symbol
_atom_site_fract_x
_atom_site_fract_y
_atom_site_fract_z
Pr1 Pr 0.0000 0.0000 0.0000
Pr2 Pr 0.0281 0.5960 0.1954
Pr3 Pr 0.2831 0.3798 0.8586
Pr4 Pr 0.3869 0.1046 0.4627
Pr5 Pr 0.4439 0.6760 0.6060
Pr6 Pr 0.5831 0.1247 0.0648
Pr7 Pr 0.8500 0.9906 0.4595
Pr8 Pr 0.9031 0.5491 0.6231
Cu1 Cu 0.5798 0.5782 0.2537
Cu2 Cu 0.7534 0.2904 0.8128
Ru1 Ru 0.0783 0.3058 0.4009
Ru2 Ru 0.2030 0.9274 0.7049
Ru3 Ru 0.3606 0.7953 0.0878
Ru4 Ru 0.6858 0.6669 0.9674
```

Largest 10 diffraction maxima, by angle, 2θ = 10–80°:
| (hkl) | 2θ/deg | d_spacing | intensity |
| --- | --- | --- | --- |
| 1 -1 2 | 30.31 | 2.949 | 381 |
| 2 0 -2 | 30.51 | 2.930 | 372 |
| 2 -1 1 | 30.88 | 2.896 | 438 |
| 2 -2 1 | 33.38 | 2.684 | 415 |
| 1 2 0 | 33.72 | 2.658 | 328 |
| -2 1 2 | 34.06 | 2.632 | 698 |
| -2 2 1 | 34.29 | 2.615 | 1000 |
| 0 1 -3 | 36.94 | 2.433 | 409 |
| 3 0 -1 | 38.08 | 2.363 | 406 |
| 2 1 -3 | 39.81 | 2.264 | 374 |


6.
Calculated X-ray powder pattern of Pr4CuS7 for copper Kα, from DFT lattice parameters and positions (PBE).
Neutral-atom scattering factors, no anomalous dispersion.

Atomic structure:
```
data_Pr4CuS7
_chemical_formula_sum 'Pr8 Cu2 S14'
_symmetry_space_group_name_H-M 'P 63'
_symmetry_Int_Tables_number 173
_symmetry_space_group_name_Hall 'P 6c'
_cell_length_a 9.7420
_cell_length_b 9.7420
_cell_length_c 7.2666
_cell_angle_alpha 90.00
_cell_angle_beta 90.00
_cell_angle_gamma 120.00
loop_
_atom_site_label
_atom_site_type_symbol
_atom_site_fract_x
_atom_site_fract_y
_atom_site_fract_z
Pr1 Pr 0.1717 0.3729 0.0000
Pr2 Pr 0.3333 0.6667 0.4600
Cu1 Cu 0.0000 0.0000 0.1360
S1 S 0.0729 0.5476 0.2356
S2 S 0.1235 0.2618 0.6112
S3 S 0.3333 0.6667 0.8345
```

Largest 10 diffraction maxima, by angle, 2θ = 10–80°:
| (hkl) | 2θ/deg | d_spacing | intensity |
| --- | --- | --- | --- |
| 2 0 0 | 21.06 | 4.218 | 139 |
| 2 0 1 | 24.40 | 3.648 | 1000 |
| 0 0 2 | 24.50 | 3.633 | 216 |
| 1 0 2 | 26.71 | 3.337 | 127 |
| 1 2 1 | 30.62 | 2.919 | 125 |
| 2 0 2 | 32.52 | 2.753 | 404 |
| 3 0 1 | 34.19 | 2.623 | 166 |
| 2 2 0 | 36.91 | 2.436 | 500 |
| 2 0 3 | 43.06 | 2.101 | 378 |
| 2 2 2 | 44.77 | 2.024 | 380 |


Number 6 is which compound?
Pr4CuS7